Starting from a cell relaxed with GGA-PBE, the X-ray diffraction stick pattern of La4Co2I5 was simulated for Cu Kα.
Lines closer than 0.1° are merged.

Structural model:
```
La4Co2I5
1.0
10.942 -2.160 0.000
10.942 2.160 0.000
-3.787 0.000 8.280
La Co I
4 2 5
Cartesian
21.104 0.000 1.704
-3.006 0.000 6.577
4.106 0.000 6.886
13.991 0.000 1.394
6.174 0.000 7.836
11.923 0.000 0.444
1.945 0.000 3.675
0.267 0.000 7.347
9.049 0.000 4.140
17.831 0.000 0.933
16.153 0.000 4.606
```

Most intense lines, 10 to 90 degrees two-theta, in order of falling intensity:
- 2θ = 28.84°, 3.095 Å, intensity 100
- 2θ = 26.88°, 3.317 Å, intensity 52
- 2θ = 36.49°, 2.462 Å, intensity 38
- 2θ = 32.44°, 2.760 Å, intensity 32
- 2θ = 50.45°, 1.809 Å, intensity 26
- 2θ = 41.82°, 2.160 Å, intensity 21

Starting from a cell relaxed with GGA-PBE, the X-ray diffraction stick pattern of La6CoOs2I3 was simulated for Cu Kα.
Lines closer than 0.1° are merged.

Structural model:
```
La6CoOs2I3
1.0
3.645 -6.313 0.000
3.645 6.313 0.000
-2.432 0.000 8.228
La Co Os I
6 1 2 3
Cartesian
1.210 2.097 1.512
-0.009 0.000 6.715
1.210 -2.097 1.512
3.647 2.097 6.716
4.866 0.000 1.513
3.647 -2.097 6.716
0.000 0.000 0.000
3.645 2.104 0.000
3.645 -2.104 0.000
2.429 4.196 4.114
2.429 0.000 4.114
2.429 -4.196 4.114
```

Most intense lines, 10 to 90 degrees two-theta, in order of falling intensity:
- 2θ = 28.44°, 3.138 Å, intensity 100
- 2θ = 42.98°, 2.104 Å, intensity 38
- 2θ = 38.22°, 2.355 Å, intensity 28
- 2θ = 10.75°, 8.228 Å, intensity 20
- 2θ = 69.98°, 1.344 Å, intensity 15
- 2θ = 35.42°, 2.534 Å, intensity 13

Starting from a cell relaxed with GGA-PBE, the X-ray diffraction stick pattern of LaPmCoI was simulated for Cu Kα.
Lines closer than 0.1° are merged.

Structural model:
```
LaPmCoI
1.0
7.063 0.000 0.000
0.000 4.072 0.000
-2.338 0.000 8.175
La Pm Co I
2 2 2 2
Cartesian
0.000 0.000 0.000
3.532 2.036 0.000
1.191 2.036 2.964
4.722 0.000 2.964
2.365 0.000 1.438
5.896 2.036 1.438
-1.161 2.036 5.517
2.371 0.000 5.517
```

Most intense lines, 10 to 90 degrees two-theta, in order of falling intensity:
- 2θ = 31.22°, 2.865 Å, intensity 100
- 2θ = 29.20°, 3.059 Å, intensity 55
- 2θ = 44.46°, 2.038 Å, intensity 49
- 2θ = 25.50°, 3.493 Å, intensity 22
- 2θ = 55.33°, 1.660 Å, intensity 19
- 2θ = 32.87°, 2.725 Å, intensity 19

Starting from a cell relaxed with GGA-PBE, the X-ray diffraction stick pattern of La6Co2TcI3 was simulated for Cu Kα.
Lines closer than 0.1° are merged.

Structural model:
```
La6Co2TcI3
1.0
3.591 -6.220 0.000
3.591 6.220 0.000
-2.402 0.000 8.289
La Co Tc I
6 2 1 3
Cartesian
-0.013 2.088 6.760
1.178 0.000 1.526
-0.013 -2.088 6.760
4.794 2.088 1.528
3.603 0.000 6.762
4.794 -2.088 1.528
3.591 4.144 0.000
3.591 -4.144 0.000
3.591 0.000 0.000
-1.201 0.000 4.144
2.390 2.044 4.144
2.390 -2.044 4.144
```

Most intense lines, 10 to 90 degrees two-theta, in order of falling intensity:
- 2θ = 28.71°, 3.109 Å, intensity 100
- 2θ = 43.66°, 2.073 Å, intensity 39
- 2θ = 38.30°, 2.350 Å, intensity 26
- 2θ = 30.71°, 2.911 Å, intensity 22
- 2θ = 53.09°, 1.725 Å, intensity 18
- 2θ = 55.41°, 1.658 Å, intensity 17

Starting from a cell relaxed with GGA-PBE, the X-ray diffraction stick pattern of LaYCoI was simulated for Cu Kα.
Lines closer than 0.1° are merged.

Structural model:
```
LaYCoI
1.0
7.010 0.000 0.000
0.000 4.043 0.000
-2.325 0.000 8.065
La Y Co I
2 2 2 2
Cartesian
0.000 0.000 0.000
3.505 2.022 0.000
1.179 2.022 2.896
4.685 0.000 2.896
2.347 0.000 1.429
5.852 2.022 1.429
-1.156 2.022 5.367
2.349 0.000 5.367
```

Most intense lines, 10 to 90 degrees two-theta, in order of falling intensity:
- 2θ = 31.53°, 2.838 Å, intensity 100
- 2θ = 44.81°, 2.023 Å, intensity 53
- 2θ = 29.46°, 3.032 Å, intensity 53
- 2θ = 26.49°, 3.365 Å, intensity 36
- 2θ = 56.98°, 1.616 Å, intensity 24
- 2θ = 36.52°, 2.461 Å, intensity 23

Starting from a cell relaxed with GGA-PBE, the X-ray diffraction stick pattern of Li2CoI was simulated for Cu Kα.
Lines closer than 0.1° are merged.

Structural model:
```
Li2CoI
1.0
6.794 0.000 0.000
0.000 6.794 0.000
0.000 0.000 6.794
Li Co I
8 4 4
Cartesian
1.698 1.698 1.698
1.698 1.698 5.095
1.698 5.095 1.698
1.698 5.095 5.095
5.095 1.698 1.698
5.095 1.698 5.095
5.095 5.095 1.698
5.095 5.095 5.095
0.000 0.000 0.000
0.000 3.397 3.397
3.397 0.000 3.397
3.397 3.397 0.000
0.000 0.000 3.397
0.000 3.397 0.000
3.397 0.000 0.000
3.397 3.397 3.397
```

Most intense lines, 10 to 90 degrees two-theta, in order of falling intensity:
- 2θ = 26.23°, 3.397 Å, intensity 100
- 2θ = 37.44°, 2.402 Å, intensity 96
- 2θ = 60.99°, 1.519 Å, intensity 35
- 2θ = 67.55°, 1.387 Å, intensity 32
- 2θ = 46.29°, 1.961 Å, intensity 28
- 2θ = 22.67°, 3.922 Å, intensity 24

Starting from a cell relaxed with GGA-PBE, the X-ray diffraction stick pattern of LiCoI4 was simulated for Cu Kα.
Lines closer than 0.1° are merged.

Structural model:
```
LiCoI4
1.0
7.889 0.000 0.000
0.000 7.889 0.000
0.000 0.000 9.693
Li Co I
2 2 8
Cartesian
0.000 0.000 0.000
0.000 0.000 4.847
0.000 3.944 0.000
3.944 0.000 4.847
1.796 2.157 0.000
1.796 5.732 0.000
2.157 1.796 4.847
2.157 6.092 4.847
5.732 1.796 4.847
5.732 6.092 4.847
6.092 2.157 0.000
6.092 5.732 0.000
```

Most intense lines, 10 to 90 degrees two-theta, in order of falling intensity:
- 2θ = 18.30°, 4.847 Å, intensity 100
- 2θ = 37.17°, 2.419 Å, intensity 73
- 2θ = 29.19°, 3.059 Å, intensity 66
- 2θ = 22.54°, 3.944 Å, intensity 64
- 2θ = 49.88°, 1.828 Å, intensity 44
- 2θ = 32.09°, 2.789 Å, intensity 42

Starting from a cell relaxed with GGA-PBE, the X-ray diffraction stick pattern of CoMo3I was simulated for Cu Kα.
Lines closer than 0.1° are merged.

Structural model:
```
CoMo3I
1.0
4.568 0.000 0.000
0.000 4.568 0.000
0.000 0.000 4.568
Co Mo I
1 3 1
Cartesian
0.000 0.000 0.000
0.000 0.000 2.284
0.000 2.284 0.000
2.284 0.000 0.000
2.284 2.284 2.284
```

Most intense lines, 10 to 90 degrees two-theta, in order of falling intensity:
- 2θ = 33.99°, 2.637 Å, intensity 100
- 2θ = 39.46°, 2.284 Å, intensity 90
- 2θ = 57.03°, 1.615 Å, intensity 59
- 2θ = 68.08°, 1.377 Å, intensity 39
- 2θ = 71.56°, 1.319 Å, intensity 20
- 2θ = 27.62°, 3.230 Å, intensity 16

Repeat the second record exactly.
Starting from a cell relaxed with GGA-PBE, the X-ray diffraction stick pattern of La6CoOs2I3 was simulated for Cu Kα.
Lines closer than 0.1° are merged.

Structural model:
```
La6CoOs2I3
1.0
3.645 -6.313 0.000
3.645 6.313 0.000
-2.432 0.000 8.228
La Co Os I
6 1 2 3
Cartesian
1.210 2.097 1.512
-0.009 0.000 6.715
1.210 -2.097 1.512
3.647 2.097 6.716
4.866 0.000 1.513
3.647 -2.097 6.716
0.000 0.000 0.000
3.645 2.104 0.000
3.645 -2.104 0.000
2.429 4.196 4.114
2.429 0.000 4.114
2.429 -4.196 4.114
```

Most intense lines, 10 to 90 degrees two-theta, in order of falling intensity:
- 2θ = 28.44°, 3.138 Å, intensity 100
- 2θ = 42.98°, 2.104 Å, intensity 38
- 2θ = 38.22°, 2.355 Å, intensity 28
- 2θ = 10.75°, 8.228 Å, intensity 20
- 2θ = 69.98°, 1.344 Å, intensity 15
- 2θ = 35.42°, 2.534 Å, intensity 13

Question: Which formula does entry 5 have?
Answer: LaYCoI